Calculated powder diffractogram
Compound: SmHg2Pd2
Radiation: Cu Kα (weighted mean of Kα1 and Kα2)
Structure: a crystal structure in Alexandria, relaxed with GGA-PBE
Peak positions follow from Bragg's law for the DFT cell and can differ from measured ones.

Cell: 5.4698 4.6620 9.0918 Å, 90.00 106.86 90.00°
Element x y z (fractional)
Sm (0.1443, 0.2500, 0.2702)
Sm (0.8557, 0.7500, 0.7298)
Hg (0.2178, 0.2500, 0.6337)
Hg (0.3847, 0.7500, 0.0643)
Hg (0.6153, 0.2500, 0.9357)
Hg (0.7822, 0.7500, 0.3663)
Pd (0.1053, 0.2500, 0.9253)
Pd (0.3417, 0.7500, 0.4862)
Pd (0.6583, 0.2500, 0.5138)
Pd (0.8947, 0.7500, 0.0747)

Largest 12 diffraction maxima, in order of falling intensity, 2θ from 10° to 90°:
2θ (°)  Rel. int.
36.5  100
39.5  95
38.6  84
29.6  54
25.6  49
39.1  45
39.7  38
30.3  38
56.1  32
36.3  26
21.6  21
49.9  20



Calculated powder diffractogram
Compound: Sm6HgPd5
Radiation: Cu Kα (weighted mean of Kα1 and Kα2)
Structure: a crystal structure in Alexandria, relaxed with GGA-PBE
Peak positions follow from Bragg's law for the DFT cell and can differ from measured ones.

Cell: 5.1156 7.2567 8.0690 Å, 90.00 108.52 90.00°
Element x y z (fractional)
Sm (0.0000, 0.2399, 0.0000)
Sm (0.0000, 0.7601, 0.0000)
Sm (0.3292, 0.2472, 0.6576)
Sm (0.3292, 0.7528, 0.6576)
Sm (0.6708, 0.2472, 0.3424)
Sm (0.6708, 0.7528, 0.3424)
Hg (0.5000, 0.5000, 0.0000)
Pd (0.1592, 0.5000, 0.3198)
Pd (0.1645, 0.0000, 0.3314)
Pd (0.5000, 0.0000, 0.0000)
Pd (0.8355, 0.0000, 0.6686)
Pd (0.8408, 0.5000, 0.6802)

Largest 12 diffraction maxima, in order of falling intensity, 2θ from 10° to 90°:
2θ (°)  Rel. int.
35.1  100
35.2  20
62.9  15
62.8  14
50.5  14
63.1  14
74.1  11
50.3  7
84.5  6
84.8  6
84.9  5
74.4  2



Calculated powder diffractogram
Compound: SmHg2Pd2
Radiation: Cu Kα (weighted mean of Kα1 and Kα2)
Structure: a crystal structure in Alexandria, relaxed with GGA-PBE
Peak positions follow from Bragg's law for the DFT cell and can differ from measured ones.

Cell: 4.1078 4.1078 7.1525 Å, 106.04 106.04 89.85°
Element x y z (fractional)
Sm (0.0000, 0.0000, 0.0000)
Hg (0.2498, 0.7502, 0.5000)
Hg (0.7502, 0.2498, 0.5000)
Pd (0.3955, 0.3955, 0.8018)
Pd (0.6045, 0.6045, 0.1982)

Largest 12 diffraction maxima, in order of falling intensity, 2θ from 10° to 90°:
2θ (°)  Rel. int.
33.8  100
44.1  73
33.9  52
33.5  49
13.4  34
27.1  32
41.1  29
41.5  27
74.6  22
52.2  21
40.4  21
40.9  20



Calculated powder diffractogram
Compound: SmHg3Pd2
Radiation: Cu Kα (weighted mean of Kα1 and Kα2)
Structure: a crystal structure in Alexandria, relaxed with GGA-PBE
Peak positions follow from Bragg's law for the DFT cell and can differ from measured ones.

Cell: 6.1048 6.1048 7.8306 Å, 92.16 92.16 113.50°
Element x y z (fractional)
Sm (0.0839, 0.9161, 0.7500)
Sm (0.9161, 0.0839, 0.2500)
Hg (0.2143, 0.4496, 0.5955)
Hg (0.2992, 0.7008, 0.2500)
Hg (0.4496, 0.2143, 0.0955)
Hg (0.5504, 0.7857, 0.9045)
Hg (0.7008, 0.2992, 0.7500)
Hg (0.7857, 0.5504, 0.4045)
Pd (0.1241, 0.3667, 0.9489)
Pd (0.3667, 0.1241, 0.4489)
Pd (0.6333, 0.8759, 0.5511)
Pd (0.8759, 0.6333, 0.0511)

Largest 12 diffraction maxima, in order of falling intensity, 2θ from 10° to 90°:
2θ (°)  Rel. int.
34.7  100
38.8  93
34.1  86
31.3  46
35.2  35
49.8  23
32.0  22
29.5  22
28.6  22
66.9  21
39.0  20
52.8  19